Record 1
This entry pairs a crystal structure of Na4Ti2Si3O12 with its calculated powder X-ray diffraction pattern. Radiation: λ = 1.5418 Å (Cu Kα). Structure: a GGA-PBE-relaxed structure.
No peak broadening, texture or thermal motion is included.

Most intense lines, 2θ = 10–80°, by angle:
- d 4.500, I 24
- d 4.475, I 42
- d 3.829, I 30
- d 3.173, I 21
- d 2.919, I 34
- d 2.832, I 100
- d 2.598, I 50
- d 2.150, I 23
- d 1.914, I 33
- d 1.541, I 19

Structure:
Unit cell a=8.950 b=8.950 c=8.950 alpha=60.37 beta=60.37 gamma=60.37
Element x y z (fractional)
1 Na 0.000 0.000 0.000
2 Na 0.122 0.750 0.378
3 Na 0.250 0.622 0.878
4 Na 0.378 0.122 0.750
5 Na 0.500 0.500 0.500
6 Na 0.622 0.878 0.250
7 Na 0.750 0.378 0.122
8 Na 0.878 0.250 0.622
9 Ti 0.147 0.147 0.147
10 Ti 0.353 0.353 0.353
11 Ti 0.647 0.647 0.647
12 Ti 0.853 0.853 0.853
13 Si 0.039 0.461 0.750
14 Si 0.250 0.961 0.539
15 Si 0.461 0.750 0.039
16 Si 0.539 0.250 0.961
17 Si 0.750 0.039 0.461
18 Si 0.961 0.539 0.250
19 O 0.006 0.643 0.781
20 O 0.060 0.275 0.925
21 O 0.075 0.940 0.725
22 O 0.143 0.506 0.281
23 O 0.219 0.994 0.357
24 O 0.225 0.440 0.575
25 O 0.275 0.925 0.060
26 O 0.281 0.143 0.506
27 O 0.357 0.219 0.994
28 O 0.425 0.775 0.560
29 O 0.440 0.575 0.225
30 O 0.494 0.719 0.857
31 O 0.506 0.281 0.143
32 O 0.560 0.425 0.775
33 O 0.575 0.225 0.440
34 O 0.643 0.781 0.006
35 O 0.719 0.857 0.494
36 O 0.725 0.075 0.940
37 O 0.775 0.560 0.425
38 O 0.781 0.006 0.643
39 O 0.857 0.494 0.719
40 O 0.925 0.060 0.275
41 O 0.940 0.725 0.075
42 O 0.994 0.357 0.219

---

Record 2
This entry pairs a crystal structure of Na2Ti2Si2O9 with its calculated powder X-ray diffraction pattern. Radiation: λ = 1.5418 Å (Cu Kα). Structure: a GGA-PBE-relaxed structure.
No peak broadening, texture or thermal motion is included.

Most intense lines, 2θ = 10–80°, by angle:
- d 5.648, I 32
- d 3.398, I 59
- d 3.073, I 27
- d 2.785, I 100
- d 2.602, I 17
- d 2.491, I 15
- d 2.488, I 16
- d 1.968, I 17
- d 1.627, I 22
- d 1.404, I 15

Structure:
Unit cell a=8.798 b=5.287 c=14.735 alpha=90.00 beta=90.00 gamma=90.00
Element x y z (fractional)
1 Na 0.063 0.141 0.154
2 Na 0.063 0.859 0.654
3 Na 0.437 0.359 0.654
4 Na 0.437 0.641 0.154
5 Na 0.563 0.359 0.846
6 Na 0.563 0.641 0.346
7 Na 0.937 0.141 0.346
8 Na 0.937 0.859 0.846
9 Ti 0.150 0.370 0.831
10 Ti 0.150 0.630 0.331
11 Ti 0.350 0.130 0.331
12 Ti 0.350 0.870 0.831
13 Ti 0.650 0.130 0.169
14 Ti 0.650 0.870 0.669
15 Ti 0.850 0.370 0.669
16 Ti 0.850 0.630 0.169
17 Si 0.158 0.300 0.527
18 Si 0.158 0.700 0.027
19 Si 0.342 0.200 0.027
20 Si 0.342 0.800 0.527
21 Si 0.658 0.200 0.473
22 Si 0.658 0.800 0.973
23 Si 0.842 0.300 0.973
24 Si 0.842 0.700 0.473
25 O 0.000 0.492 0.750
26 O 0.000 0.508 0.250
27 O 0.006 0.259 0.926
28 O 0.006 0.741 0.426
29 O 0.165 0.299 0.416
30 O 0.165 0.701 0.916
31 O 0.183 0.059 0.778
32 O 0.183 0.941 0.278
33 O 0.235 0.436 0.067
34 O 0.235 0.564 0.567
35 O 0.265 0.064 0.567
36 O 0.265 0.936 0.067
37 O 0.317 0.441 0.278
38 O 0.317 0.559 0.778
39 O 0.335 0.201 0.916
40 O 0.335 0.799 0.416
41 O 0.494 0.241 0.426
42 O 0.494 0.759 0.926
43 O 0.500 0.008 0.250
44 O 0.500 0.992 0.750
45 O 0.506 0.241 0.074
46 O 0.506 0.759 0.574
47 O 0.665 0.201 0.584
48 O 0.665 0.799 0.084
49 O 0.683 0.441 0.222
50 O 0.683 0.559 0.722
51 O 0.735 0.064 0.933
52 O 0.735 0.936 0.433
53 O 0.765 0.436 0.433
54 O 0.765 0.564 0.933
55 O 0.817 0.059 0.722
56 O 0.817 0.941 0.222
57 O 0.835 0.299 0.084
58 O 0.835 0.701 0.584
59 O 0.994 0.259 0.574
60 O 0.994 0.741 0.074

---

Record 3
This entry pairs a crystal structure of Na2TiSi4O11 with its calculated powder X-ray diffraction pattern. Radiation: λ = 1.5418 Å (Cu Kα). Structure: a GGA-PBE-relaxed structure.
No peak broadening, texture or thermal motion is included.

Most intense lines, 2θ = 10–80°, by angle:
- d 5.443, I 100
- d 4.145, I 26
- d 3.951, I 87
- d 3.849, I 41
- d 3.443, I 80
- d 3.298, I 100
- d 3.197, I 42
- d 2.595, I 73
- d 2.565, I 67
- d 1.985, I 27

Structure:
Unit cell a=8.652 b=8.652 c=8.652 alpha=102.03 beta=102.03 gamma=125.66
Element x y z (fractional)
1 Na 0.134 0.817 0.951
2 Na 0.183 0.134 0.316
3 Na 0.817 0.866 0.684
4 Na 0.866 0.183 0.049
5 Ti 0.256 0.256 0.000
6 Ti 0.744 0.744 0.000
7 Si 0.001 0.680 0.296
8 Si 0.295 0.999 0.679
9 Si 0.320 0.616 0.321
10 Si 0.384 0.705 0.704
11 Si 0.616 0.295 0.296
12 Si 0.680 0.384 0.679
13 Si 0.705 0.001 0.321
14 Si 0.999 0.320 0.704
15 O 0.000 0.000 0.000
16 O 0.054 0.281 0.872
17 O 0.092 0.558 0.269
18 O 0.178 0.908 0.466
19 O 0.182 0.054 0.773
20 O 0.196 0.458 0.654
21 O 0.281 0.409 0.227
22 O 0.289 0.822 0.731
23 O 0.409 0.182 0.128
24 O 0.442 0.711 0.534
25 O 0.458 0.804 0.262
26 O 0.500 0.500 0.000
27 O 0.542 0.196 0.738
28 O 0.558 0.289 0.466
29 O 0.591 0.818 0.872
30 O 0.711 0.178 0.269
31 O 0.719 0.591 0.773
32 O 0.804 0.542 0.346
33 O 0.818 0.946 0.227
34 O 0.822 0.092 0.534
35 O 0.908 0.442 0.731
36 O 0.946 0.719 0.128

---

Record 4
This entry pairs a crystal structure of Na2TiSi2O8 with its calculated powder X-ray diffraction pattern. Radiation: λ = 1.5418 Å (Cu Kα). Structure: a GGA-PBE-relaxed structure.
No peak broadening, texture or thermal motion is included.

Most intense lines, 2θ = 10–80°, by angle:
- d 6.506, I 51
- d 4.850, I 48
- d 4.511, I 53
- d 4.385, I 32
- d 3.101, I 100
- d 3.033, I 98
- d 2.813, I 61
- d 2.733, I 71
- d 2.585, I 37
- d 1.637, I 32

Structure:
Unit cell a=15.213 b=15.213 c=5.307 alpha=92.63 beta=92.63 gamma=33.51
Element x y z (fractional)
1 Na 0.039 0.640 0.606
2 Na 0.072 0.928 0.750
3 Na 0.333 0.667 0.250
4 Na 0.360 0.961 0.894
5 Na 0.640 0.039 0.106
6 Na 0.667 0.333 0.750
7 Na 0.928 0.072 0.250
8 Na 0.961 0.360 0.394
9 Ti 0.239 0.429 0.128
10 Ti 0.429 0.239 0.628
11 Ti 0.571 0.761 0.372
12 Ti 0.761 0.571 0.872
13 Si 0.004 0.805 0.071
14 Si 0.145 0.328 0.769
15 Si 0.195 0.996 0.429
16 Si 0.328 0.145 0.269
17 Si 0.672 0.855 0.731
18 Si 0.805 0.004 0.571
19 Si 0.855 0.672 0.231
20 Si 0.996 0.195 0.929
21 O 0.047 0.526 0.238
22 O 0.086 0.138 0.657
23 O 0.092 0.824 0.072
24 O 0.117 0.625 0.014
25 O 0.138 0.086 0.157
26 O 0.176 0.908 0.428
27 O 0.208 0.225 0.504
28 O 0.210 0.376 0.783
29 O 0.225 0.208 0.004
30 O 0.300 0.428 0.440
31 O 0.375 0.883 0.486
32 O 0.376 0.210 0.283
33 O 0.391 0.512 0.579
34 O 0.428 0.300 0.940
35 O 0.474 0.953 0.262
36 O 0.488 0.609 0.921
37 O 0.512 0.391 0.079
38 O 0.526 0.047 0.738
39 O 0.572 0.700 0.060
40 O 0.609 0.488 0.421
41 O 0.624 0.790 0.717
42 O 0.625 0.117 0.514
43 O 0.700 0.572 0.560
44 O 0.775 0.792 0.996
45 O 0.790 0.624 0.217
46 O 0.792 0.775 0.496
47 O 0.824 0.092 0.572
48 O 0.862 0.914 0.843
49 O 0.883 0.375 0.986
50 O 0.908 0.176 0.928
51 O 0.914 0.862 0.343
52 O 0.953 0.474 0.762